# 1
Theoretical XRD peak list of AcCeIr4 for Cu Kα (λ = 1.5418 Å), from a DFT-relaxed cell (PBE, Alexandria).
Lines closer than 0.1° are merged.

Most intense lines, 2θ from 10° to 90°, sorted by position:
hkl	two_theta	I_rel
1 1 1	19.8	8
2 2 0	32.7	25
3 1 1	38.5	100
2 2 2	40.3	42
4 0 0	46.9	6
4 2 2	58.3	10
5 1 1	62.2	33
4 4 0	68.5	29
5 3 3	81.4	12
6 2 2	82.5	17

Structure:
```
data_AcCeIr4
_cell_length_a 7.753
_cell_length_b 7.753
_cell_length_c 7.753
_cell_angle_alpha 90.00
_cell_angle_beta 90.00
_cell_angle_gamma 90.00
_space_group_name_H-M_alt 'F -4 3 m'
_space_group_IT_number 216
_space_group_name_Hall 'F -4 2 3'
loop_
_atom_site_label
_atom_site_type_symbol
_atom_site_fract_x
_atom_site_fract_y
_atom_site_fract_z
Ac1 Ac 0.000 0.000 0.000
Ce1 Ce 0.250 0.250 0.750
Ir1 Ir 0.125 0.125 0.375
```

# 2
Theoretical XRD peak list of Cs6MgTe4 for Cu Kα (λ = 1.5418 Å), from a DFT-relaxed cell (PBE, Alexandria).
Lines closer than 0.1° are merged.

Most intense lines, 2θ from 10° to 90°, sorted by position:
hkl	two_theta	I_rel
2 1 1	24.8	70
2 0 2	25.8	100
3 0 1	27.7	44
2 1 2	29.9	22
2 2 0	30.1	92
2 0 3	33.7	22
3 2 2	43.0	15
5 0 1	45.1	19
3 2 3	48.4	38
5 2 1	56.7	17

Structure:
```
data_Cs6MgTe4
_cell_length_a 11.8792
_cell_length_b 11.8792
_cell_length_c 9.3286
_cell_angle_alpha 90.00
_cell_angle_beta 90.00
_cell_angle_gamma 120.00
_space_group_name_H-M_alt 'P 63 m c'
_space_group_IT_number 186
_space_group_name_Hall 'P 6c -2c'
loop_
_atom_site_label
_atom_site_type_symbol
_atom_site_fract_x
_atom_site_fract_y
_atom_site_fract_z
Cs1 Cs 0.0560 0.5280 0.0000
Cs2 Cs 0.1472 0.2944 0.3205
Mg1 Mg 0.3333 0.6667 0.6120
Te1 Te 0.1994 0.3989 0.7090
Te2 Te 0.3333 0.6667 0.3015
```

# 3
Theoretical XRD peak list of MgHg5 for Cu Kα (λ = 1.5418 Å), from a DFT-relaxed cell (PBE, Alexandria).
Lines closer than 0.1° are merged.

Most intense lines, 2θ from 10° to 90°, sorted by position:
hkl	two_theta	I_rel
1 1 -1	27.6	10
1 1 1	29.1	7
2 0 2	32.3	38
1 1 -2	34.5	100
4 0 -2	36.7	17
0 2 0	49.5	16
5 1 -3	56.3	8
2 2 2	60.4	13
4 2 -2	63.2	7
1 3 -2	83.0	9

Structure:
```
data_MgHg5
_cell_length_a 11.269
_cell_length_b 3.682
_cell_length_c 7.376
_cell_angle_alpha 90.00
_cell_angle_beta 101.78
_cell_angle_gamma 90.00
_space_group_name_H-M_alt 'C 1 m 1'
_space_group_IT_number 8
loop_
_space_group_symop_operation_xyz
'x,y,z'
'x,-y,z'
'x+1/2,y+1/2,z'
'x+1/2,-y+1/2,z'
loop_
_atom_site_label
_atom_site_type_symbol
_atom_site_fract_x
_atom_site_fract_y
_atom_site_fract_z
Mg1 Mg 0.000 0.000 0.000
Hg1 Hg 0.088 0.500 0.746
Hg2 Hg 0.155 0.500 0.274
Hg3 Hg 0.289 0.000 0.623
Hg4 Hg 0.304 0.000 0.052
Hg5 Hg 0.452 0.500 0.409
```

# 4
Theoretical XRD peak list of Mn2CdAg for Cu Kα (λ = 1.5418 Å), from a DFT-relaxed cell (PBE, Alexandria).
Lines closer than 0.1° are merged.

Most intense lines, 2θ from 10° to 90°, sorted by position:
hkl	two_theta	I_rel
1 0 1	31.5	28
1 0 2	39.4	100
0 0 3	40.3	10
1 1 0	40.8	52
1 1 3	58.7	12
2 0 0	59.0	16
1 1 4	70.4	11
2 1 2	73.3	29
1 0 5	77.4	9
2 0 4	84.7	6

Structure:
```
data_Mn2CdAg
_cell_length_a 3.130
_cell_length_b 3.130
_cell_length_c 6.709
_cell_angle_alpha 90.00
_cell_angle_beta 90.00
_cell_angle_gamma 90.00
_space_group_name_H-M_alt 'P 4 m m'
_space_group_IT_number 99
loop_
_space_group_symop_operation_xyz
'x,y,z'
'-y,x,z'
'-x,-y,z'
'y,-x,z'
'-x,y,z'
'y,x,z'
'x,-y,z'
'-y,-x,z'
loop_
_atom_site_label
_atom_site_type_symbol
_atom_site_fract_x
_atom_site_fract_y
_atom_site_fract_z
Mn1 Mn 0.000 0.000 0.000
Mn2 Mn 0.500 0.500 0.170
Cd1 Cd 0.500 0.500 0.720
Ag1 Ag 0.000 0.000 0.429
```